# 1
This entry pairs a crystal structure of SrCaP2WO8 with its theoretical powder diffractogram. Radiation: Cu Kα (λ = 1.5418 Å). Structure: DFT lattice parameters and positions (GGA+U).
Kinematic intensities with the Lorentz-polarization factor, no thermal factor.

Largest 10 diffraction maxima, by angle, 2θ from 15° to 90°:
h k l  Position (°2θ)  d (Å)  intensity
1 0 0  15.31  5.786  49
1 1 -1  20.44  4.345  77
1 1 1  28.60  3.121  85
0 2 -2  28.81  3.099  94
1 1 -3  29.45  3.033  51
1 0 -3  29.67  3.011  100
2 -1 0  31.61  2.830  61
-1 2 1  32.91  2.722  59
1 -2 2  33.50  2.675  55
2 1 -4  42.90  2.108  66

Cell and atoms:
abc: 6.127 6.734 9.634
angles: 107.29 106.25 94.67
Atoms (fractional coordinates):
Sr  0.184  0.200  0.426
Sr  0.816  0.800  0.574
Ca  0.480  0.579  0.823
Ca  0.520  0.421  0.177
P  0.126  0.604  0.281
P  0.366  0.017  0.776
P  0.634  0.983  0.224
P  0.874  0.396  0.719
W  0.143  0.848  0.030
W  0.857  0.152  0.970
O  0.072  0.441  0.656
O  0.109  0.810  0.240
O  0.110  0.421  0.130
O  0.210  0.876  0.826
O  0.240  0.008  0.613
O  0.371  0.606  0.388
O  0.415  0.096  0.217
O  0.456  0.249  0.893
O  0.544  0.751  0.107
O  0.585  0.904  0.783
O  0.629  0.394  0.612
O  0.760  0.992  0.387
O  0.790  0.124  0.174
O  0.890  0.579  0.870
O  0.891  0.190  0.760
O  0.928  0.559  0.344

# 2
This entry pairs a crystal structure of LiTiV2O6 with its theoretical powder diffractogram. Radiation: Cu Kα (λ = 1.5418 Å). Structure: DFT lattice parameters and positions (GGA+U).
Kinematic intensities with the Lorentz-polarization factor, no thermal factor.

Largest 10 diffraction maxima, by angle, 2θ from 15° to 90°:
h k l  Position (°2θ)  d (Å)  intensity
0 1 -1  18.47  4.803  100
1 1 0  34.88  2.572  25
0 1 2  35.99  2.496  12
1 2 -1  42.35  2.134  42
0 0 3  44.43  2.039  17
1 3 -2  56.31  1.634  8
2 0 -1  61.29  1.512  8
1 2 2  62.59  1.484  12
1 2 -4  63.52  1.465  6
1 3 1  65.00  1.435  5

Cell and atoms:
abc: 3.025 6.025 6.453
angles: 102.45 103.54 90.03
Atoms (fractional coordinates):
Li  0.000  0.000  0.000
Ti  0.680  0.797  0.365
V  0.317  0.192  0.640
V  0.994  0.504  0.991
O  0.165  0.600  0.334
O  0.171  0.039  0.347
O  0.478  0.263  0.959
O  0.516  0.739  0.035
O  0.827  0.962  0.659
O  0.828  0.400  0.661